# 1
Starting from a cell relaxed with PBE+U, the XRD peak list of Ba2Fe5BiPb2O13 was calculated for Cu Kα.

Cell and atoms:
```
Ba2Fe5BiPb2O13
1.0
13.5415 -1.9732 0.0000
13.5415 1.9732 0.0000
-0.1647 0.0000 5.7200
Ba Fe Bi Pb O
2 5 1 2 13
Direct
0.1007 0.1007 0.0066 Ba
0.8993 0.8993 0.9934 Ba
0.2937 0.2937 0.9798 Fe
0.3970 0.3970 0.4940 Fe
0.5000 0.5000 0.0000 Fe
0.6030 0.6030 0.5060 Fe
0.7063 0.7063 0.0202 Fe
0.0000 0.0000 0.5000 Bi
0.1925 0.1925 0.5131 Pb
0.8075 0.8075 0.4869 Pb
0.0000 0.0000 0.0000 O
0.1076 0.1076 0.5105 O
0.2209 0.2209 0.0632 O
0.3384 0.3384 0.7153 O
0.3403 0.3403 0.2343 O
0.4466 0.4466 0.7439 O
0.4520 0.4520 0.2815 O
0.5480 0.5480 0.7185 O
0.5534 0.5534 0.2561 O
0.6597 0.6597 0.7657 O
0.6616 0.6616 0.2847 O
0.7791 0.7791 0.9368 O
0.8924 0.8924 0.4895 O
```

Largest 12 diffraction maxima, by angle, 2θ from 10° to 90°:
15.5 deg, rel. 185
22.8 deg, rel. 201
31.3 deg, rel. 563
31.9 deg, rel. 996
32.4 deg, rel. 1000
33.1 deg, rel. 439
39.0 deg, rel. 180
45.5 deg, rel. 265
46.0 deg, rel. 327
46.9 deg, rel. 227
55.8 deg, rel. 196
56.7 deg, rel. 428

# 2
Starting from a cell relaxed with PBE+U, the XRD peak list of BaTiFe3Bi3O12 was calculated for Cu Kα.

Cell and atoms:
```
BaTiFe3Bi3O12
1.0
2.8349 1.6367 9.4129
-2.8349 1.6367 9.4129
0.0000 -3.2735 9.4129
Ba Ti Fe Bi O
1 1 3 3 12
Direct
0.0000 0.0000 0.0000 Ba
0.3807 0.3807 0.3807 Ti
0.1230 0.1230 0.1230 Fe
0.6260 0.6260 0.6260 Fe
0.8740 0.8740 0.8740 Fe
0.2664 0.2664 0.2664 Bi
0.5154 0.5154 0.5154 Bi
0.7662 0.7662 0.7662 Bi
0.0117 0.5083 0.4569 O
0.0534 0.9103 0.5089 O
0.1853 0.3094 0.7405 O
0.2551 0.6736 0.7974 O
0.3094 0.7405 0.1853 O
0.4569 0.0117 0.5083 O
0.5083 0.4569 0.0117 O
0.5089 0.0534 0.9103 O
0.6736 0.7974 0.2551 O
0.7405 0.1853 0.3094 O
0.7974 0.2551 0.6736 O
0.9103 0.5089 0.0534 O
```

Largest 12 diffraction maxima, by angle, 2θ from 10° to 90°:
22.1 deg, rel. 691
31.2 deg, rel. 942
31.6 deg, rel. 1000
38.8 deg, rel. 317
45.0 deg, rel. 472
50.4 deg, rel. 253
50.9 deg, rel. 169
55.3 deg, rel. 137
56.0 deg, rel. 390
56.2 deg, rel. 229
65.9 deg, rel. 165
74.7 deg, rel. 163

What did the first record say?
Starting from a cell relaxed with PBE+U, the XRD peak list of Ba2Fe5BiPb2O13 was calculated for Cu Kα.

Cell and atoms:
```
Ba2Fe5BiPb2O13
1.0
13.5415 -1.9732 0.0000
13.5415 1.9732 0.0000
-0.1647 0.0000 5.7200
Ba Fe Bi Pb O
2 5 1 2 13
Direct
0.1007 0.1007 0.0066 Ba
0.8993 0.8993 0.9934 Ba
0.2937 0.2937 0.9798 Fe
0.3970 0.3970 0.4940 Fe
0.5000 0.5000 0.0000 Fe
0.6030 0.6030 0.5060 Fe
0.7063 0.7063 0.0202 Fe
0.0000 0.0000 0.5000 Bi
0.1925 0.1925 0.5131 Pb
0.8075 0.8075 0.4869 Pb
0.0000 0.0000 0.0000 O
0.1076 0.1076 0.5105 O
0.2209 0.2209 0.0632 O
0.3384 0.3384 0.7153 O
0.3403 0.3403 0.2343 O
0.4466 0.4466 0.7439 O
0.4520 0.4520 0.2815 O
0.5480 0.5480 0.7185 O
0.5534 0.5534 0.2561 O
0.6597 0.6597 0.7657 O
0.6616 0.6616 0.2847 O
0.7791 0.7791 0.9368 O
0.8924 0.8924 0.4895 O
```

Largest 12 diffraction maxima, by angle, 2θ from 10° to 90°:
15.5 deg, rel. 185
22.8 deg, rel. 201
31.3 deg, rel. 563
31.9 deg, rel. 996
32.4 deg, rel. 1000
33.1 deg, rel. 439
39.0 deg, rel. 180
45.5 deg, rel. 265
46.0 deg, rel. 327
46.9 deg, rel. 227
55.8 deg, rel. 196
56.7 deg, rel. 428